Simulated PXRD pattern
Compound: Ca3Al2P4
Radiation: Cu Kα, 1.54184 Å
Structure: a cell relaxed with PBE
Kinematic intensities with the Lorentz-polarization factor, no thermal factor.

Crystal structure
Lattice parameters (Å, degrees): 8.0200 8.0200 6.4750 90.40 90.40 75.84
Sites, in units of the cell vectors:
Ca 0.0990 0.9010 0.7500
Ca 0.2507 0.5083 0.0299
Ca 0.4917 0.7493 0.4701
Ca 0.5083 0.2507 0.5299
Ca 0.7493 0.4917 0.9701
Ca 0.9010 0.0990 0.2500
Al 0.0795 0.3277 0.5879
Al 0.3277 0.0795 0.0879
Al 0.6723 0.9205 0.9121
Al 0.9205 0.6723 0.4121
P 0.0692 0.2422 0.9368
P 0.2156 0.5586 0.5233
P 0.2422 0.0692 0.4368
P 0.4414 0.7844 0.9767
P 0.5586 0.2156 0.0233
P 0.7578 0.9308 0.5632
P 0.7844 0.4414 0.4767
P 0.9308 0.7578 0.0632

Top 10 peaks for 2θ = 5–70°, in order of rising 2θ:
- 2θ = 26.68°, d = 3.341 Å, I 60.6
- 2θ = 26.87°, d = 3.319 Å, I 83.6
- 2θ = 27.55°, d = 3.237 Å, I 100.0
- 2θ = 28.21°, d = 3.163 Å, I 53.9
- 2θ = 29.96°, d = 2.983 Å, I 49.2
- 2θ = 36.46°, d = 2.465 Å, I 91.0
- 2θ = 36.66°, d = 2.451 Å, I 87.7
- 2θ = 37.44°, d = 2.402 Å, I 85.1
- 2θ = 39.66°, d = 2.273 Å, I 66.5
- 2θ = 39.77°, d = 2.266 Å, I 59.1



Simulated PXRD pattern
Compound: RbTiI3
Radiation: Cu Kα, 1.54184 Å
Structure: a cell relaxed with PBE
Kinematic intensities with the Lorentz-polarization factor, no thermal factor.

Crystal structure
Lattice parameters (Å, degrees): 14.1368 14.1368 7.0096 90.00 90.00 120.00
Sites, in units of the cell vectors:
Rb 0.0000 0.3299 0.0000
Rb 0.0000 0.6701 0.5000
Rb 0.3299 0.0000 0.0000
Rb 0.3299 0.3299 0.5000
Rb 0.6701 0.0000 0.5000
Rb 0.6701 0.6701 0.0000
Ti 0.0000 0.0000 0.2081
Ti 0.0000 0.0000 0.7081
Ti 0.3333 0.6667 0.3004
Ti 0.3333 0.6667 0.8004
Ti 0.6667 0.3333 0.3004
Ti 0.6667 0.3333 0.8004
I 0.0000 0.1628 0.4570
I 0.0000 0.8372 0.9570
I 0.1628 0.0000 0.4570
I 0.1628 0.1628 0.9570
I 0.1712 0.5041 0.5510
I 0.1712 0.6671 0.0510
I 0.3329 0.5041 0.0510
I 0.3329 0.8288 0.5510
I 0.4959 0.6671 0.5510
I 0.4959 0.8288 0.0510
I 0.5041 0.1712 0.5510
I 0.5041 0.3329 0.0510
I 0.6671 0.1712 0.0510
I 0.6671 0.4959 0.5510
I 0.8288 0.3329 0.5510
I 0.8288 0.4959 0.0510
I 0.8372 0.0000 0.9570
I 0.8372 0.8372 0.4570

Top 10 peaks for 2θ = 5–70°, in order of rising 2θ:
- 2θ = 12.52°, d = 7.068 Å, I 15.1
- 2θ = 25.20°, d = 3.534 Å, I 14.9
- 2θ = 25.41°, d = 3.505 Å, I 19.3
- 2θ = 28.28°, d = 3.156 Å, I 100.0
- 2θ = 36.09°, d = 2.489 Å, I 20.3
- 2θ = 44.40°, d = 2.040 Å, I 24.5
- 2θ = 46.60°, d = 1.949 Å, I 14.0
- 2θ = 51.85°, d = 1.763 Å, I 15.8
- 2θ = 53.48°, d = 1.713 Å, I 16.3
- 2θ = 58.49°, d = 1.578 Å, I 4.8



Simulated PXRD pattern
Compound: RbMg14Cr
Radiation: Cu Kα, 1.54184 Å
Structure: a cell relaxed with PBE
Kinematic intensities with the Lorentz-polarization factor, no thermal factor.

Crystal structure
Lattice parameters (Å, degrees): 10.6627 6.4946 6.4946 60.55 90.00 90.00
Sites, in units of the cell vectors:
Rb 0.0000 0.0000 0.0000
Mg 0.0000 0.0049 0.4976
Mg 0.0000 0.4976 0.0049
Mg 0.2421 0.6646 0.6646
Mg 0.2615 0.1754 0.6540
Mg 0.2615 0.6540 0.1754
Mg 0.2673 0.1717 0.1717
Mg 0.5000 0.5007 0.5007
Mg 0.5000 0.5024 0.9970
Mg 0.5000 0.9970 0.5024
Mg 0.5000 0.9990 0.9990
Mg 0.7327 0.1717 0.1717
Mg 0.7385 0.1754 0.6540
Mg 0.7385 0.6540 0.1754
Mg 0.7579 0.6646 0.6646
Cr 0.0000 0.4974 0.4974

Top 10 peaks for 2θ = 5–70°, in order of rising 2θ:
- 2θ = 8.29°, d = 10.663 Å, I 24.1
- 2θ = 31.64°, d = 2.828 Å, I 26.0
- 2θ = 33.62°, d = 2.666 Å, I 38.8
- 2θ = 35.95°, d = 2.498 Å, I 100.0
- 2θ = 36.19°, d = 2.482 Å, I 49.1
- 2θ = 46.84°, d = 1.940 Å, I 16.4
- 2θ = 56.70°, d = 1.624 Å, I 16.7
- 2θ = 61.64°, d = 1.505 Å, I 18.1
- 2θ = 67.55°, d = 1.387 Å, I 18.3
- 2θ = 68.68°, d = 1.367 Å, I 13.6